Theoretical powder X-ray diffraction pattern of Li2Ta2W2O13 for Cu Ka, from the PBE+U geometry in Alexandria.

The 8 most intense peaks (2θ = 15–90°), sorted by position:
| index | 2θ/deg | d (Å) | Rel. int. |
| --- | --- | --- | --- |
| 1 2 1 | 28.19 | 3.166 | 100 |
| 2 1 1 | 28.26 | 3.158 | 55 |
| 0 2 2 | 29.43 | 3.035 | 95 |
| 2 0 2 | 29.56 | 3.022 | 85 |
| 0 0 4 | 34.19 | 2.623 | 60 |
| 2 2 4 | 49.12 | 1.855 | 49 |
| 0 2 6 | 58.25 | 1.584 | 40 |
| 4 2 2 | 58.43 | 1.579 | 40 |

Crystal structure
Lattice parameters (Å, degrees): 7.3944 7.4432 10.4910 90.00 90.00 90.00
Space group Imm2 (No. 44)
Asymmetric unit:
Li 0.2348 0.0000 0.0000 [4 per cell]
Ta 0.0000 0.2460 0.8156 [4 per cell]
W 0.2486 0.5000 0.0660 [4 per cell]
O 0.0000 0.0000 0.5122 [2 per cell]
O 0.0000 0.0000 0.8974 [2 per cell]
O 0.0000 0.5000 0.1257 [2 per cell]
O 0.0000 0.5000 0.5514 [2 per cell]
O 0.0000 0.5000 0.7595 [2 per cell]
O 0.1862 0.1788 0.6955 [8 per cell]
O 0.1890 0.3098 0.9500 [8 per cell]